# 1
Diffraction record for Rb2ReI7. The X-ray diffraction stick pattern is calculated, not measured: it uses a cell relaxed with PBE and Cu Ka.

Main lines, sorted by position (2θ = 10–90°):
| Position (°2θ) | d [Å] | I/Imax |
| --- | --- | --- |
| 14.50 | 6.110 | 59 |
| 24.78 | 3.593 | 70 |
| 27.57 | 3.235 | 52 |
| 29.23 | 3.055 | 100 |
| 40.62 | 2.221 | 67 |
| 41.82 | 2.160 | 40 |

Atomic structure:
Cell lengths 8.8991, 8.8991, 8.8991 Å; angles 121.91, 121.91, 86.73 degrees
Sites, in units of the cell vectors:
1 Rb 0.2500 0.7500 0.5000
2 Rb 0.7500 0.2500 0.5000
3 Re 0.0000 0.0000 0.0000
4 I 0.2116 0.2116 0.0000
5 I 0.2264 0.2264 0.4527
6 I 0.2264 0.7736 0.0000
7 I 0.5000 0.5000 0.0000
8 I 0.7736 0.2264 0.0000
9 I 0.7736 0.7736 0.5473
10 I 0.7884 0.7884 0.0000

# 2
Diffraction record for YTl2PbO6. The X-ray diffraction stick pattern is calculated, not measured: it uses a cell relaxed with PBE and Cu Ka.

Main lines, sorted by position (2θ = 10–90°):
| Position (°2θ) | d [Å] | I/Imax |
| --- | --- | --- |
| 28.97 | 3.082 | 100 |
| 30.38 | 2.942 | 94 |
| 42.47 | 2.128 | 41 |
| 46.83 | 1.940 | 26 |
| 53.11 | 1.724 | 41 |
| 53.98 | 1.699 | 27 |

Atomic structure:
Cell lengths 6.1789, 6.1789, 6.1789 Å; angles 56.87, 56.87, 56.87 degrees
Sites, in units of the cell vectors:
1 Y 0.0000 0.0000 0.0000
2 Tl 0.2794 0.2794 0.2794
3 Tl 0.7807 0.7807 0.7807
4 Pb 0.4985 0.4985 0.4985
5 O 0.1014 0.6930 0.3882
6 O 0.1852 0.6043 0.8910
7 O 0.3882 0.1014 0.6930
8 O 0.6043 0.8910 0.1852
9 O 0.6930 0.3882 0.1014
10 O 0.8910 0.1852 0.6043

# 3
Diffraction record for Rb6PaF12. The X-ray diffraction stick pattern is calculated, not measured: it uses a cell relaxed with PBE and Cu Ka.

Main lines, sorted by position (2θ = 10–90°):
| Position (°2θ) | d [Å] | I/Imax |
| --- | --- | --- |
| 18.46 | 4.805 | 29 |
| 23.55 | 3.778 | 100 |
| 27.20 | 3.279 | 34 |
| 38.71 | 2.326 | 32 |
| 38.97 | 2.311 | 33 |
| 45.92 | 1.976 | 33 |

Atomic structure:
Cell lengths 8.0235, 8.0235, 8.0235 Å; angles 99.31, 99.31, 99.31 degrees
Sites, in units of the cell vectors:
1 Rb 0.0979 0.8384 0.6494
2 Rb 0.1616 0.3506 0.9021
3 Rb 0.3506 0.9021 0.1616
4 Rb 0.6494 0.0979 0.8384
5 Rb 0.8384 0.6494 0.0979
6 Rb 0.9021 0.1616 0.3506
7 Pa 0.5000 0.5000 0.5000
8 F 0.0886 0.8983 0.3293
9 F 0.1017 0.6707 0.9114
10 F 0.2431 0.4157 0.5260
11 F 0.3293 0.0886 0.8983
12 F 0.4157 0.5260 0.2431
13 F 0.4740 0.7569 0.5843
14 F 0.5260 0.2431 0.4157
15 F 0.5843 0.4740 0.7569
16 F 0.6707 0.9114 0.1017
17 F 0.7569 0.5843 0.4740
18 F 0.8983 0.3293 0.0886
19 F 0.9114 0.1017 0.6707

# 4
Diffraction record for Li3Ac2MgAu4. The X-ray diffraction stick pattern is calculated, not measured: it uses a cell relaxed with PBE and Cu Ka.

Main lines, sorted by position (2θ = 10–90°):
| Position (°2θ) | d [Å] | I/Imax |
| --- | --- | --- |
| 25.47 | 3.498 | 37 |
| 29.10 | 3.069 | 37 |
| 31.33 | 2.855 | 31 |
| 32.37 | 2.765 | 100 |
| 39.91 | 2.259 | 45 |
| 67.76 | 1.383 | 28 |

Atomic structure:
Cell lengths 4.5175, 4.5175, 11.0518 Å; angles 90.00, 90.00, 90.00 degrees
Sites, in units of the cell vectors:
1 Li 0.0000 0.0000 0.0000
2 Li 0.0000 0.5000 0.6111
3 Li 0.5000 0.0000 0.3889
4 Ac 0.0000 0.5000 0.2670
5 Ac 0.5000 0.0000 0.7330
6 Mg 0.5000 0.5000 0.0000
7 Au 0.0000 0.0000 0.5000
8 Au 0.0000 0.5000 0.8490
9 Au 0.5000 0.0000 0.1510
10 Au 0.5000 0.5000 0.5000

# 5
Diffraction record for Cs4Sn21Hg2. The X-ray diffraction stick pattern is calculated, not measured: it uses a cell relaxed with PBE and Cu Ka.

Main lines, sorted by position (2θ = 10–90°):
| Position (°2θ) | d [Å] | I/Imax |
| --- | --- | --- |
| 24.69 | 3.605 | 34 |
| 25.72 | 3.464 | 22 |
| 26.71 | 3.338 | 100 |
| 42.19 | 2.142 | 54 |
| 43.48 | 2.081 | 25 |
| 44.73 | 2.026 | 51 |

Atomic structure:
Cell lengths 12.4866, 12.4897, 12.4897 Å; angles 89.96, 90.00, 90.00 degrees
Sites, in units of the cell vectors:
1 Cs 0.0000 0.0000 0.0000
2 Cs 0.2500 0.2642 0.5156
3 Cs 0.2500 0.5087 0.0078
4 Cs 0.2500 0.7527 0.5160
5 Cs 0.5000 0.0000 0.0000
6 Cs 0.7500 0.0078 0.5087
7 Cs 0.7500 0.5156 0.2642
8 Cs 0.7500 0.5160 0.7527
9 Sn 0.0560 0.0079 0.3915
10 Sn 0.0640 0.0084 0.6279
11 Sn 0.0652 0.6892 0.1924
12 Sn 0.0669 0.3258 0.1939
13 Sn 0.0668 0.6906 0.8264
14 Sn 0.0690 0.3237 0.8246
15 Sn 0.1324 0.5084 0.3220
16 Sn 0.1319 0.5084 0.6974
17 Sn 0.2500 0.0078 0.2585
18 Sn 0.2500 0.1925 0.8895
19 Sn 0.2500 0.2010 0.1247
20 Sn 0.2500 0.8134 0.1255
21 Sn 0.2500 0.8200 0.8888
22 Sn 0.3676 0.5084 0.3220
23 Sn 0.3681 0.5084 0.6974
24 Sn 0.4310 0.3237 0.8246
25 Sn 0.4331 0.3258 0.1939
26 Sn 0.4332 0.6906 0.8264
27 Sn 0.4348 0.6892 0.1924
28 Sn 0.4360 0.0084 0.6279
29 Sn 0.4440 0.0079 0.3915
30 Sn 0.5560 0.3915 0.0079
31 Sn 0.5640 0.6279 0.0084
32 Sn 0.5652 0.1924 0.6892
33 Sn 0.5669 0.1939 0.3258
34 Sn 0.5668 0.8264 0.6906
35 Sn 0.5690 0.8246 0.3237
36 Sn 0.6324 0.3220 0.5084
37 Sn 0.6319 0.6974 0.5084
38 Sn 0.7500 0.1247 0.2010
39 Sn 0.7500 0.1255 0.8134
40 Sn 0.7500 0.2585 0.0078
41 Sn 0.7500 0.8895 0.1925
42 Sn 0.7500 0.8888 0.8200
43 Sn 0.8676 0.3220 0.5084
44 Sn 0.8681 0.6974 0.5084
45 Sn 0.9310 0.8246 0.3237
46 Sn 0.9331 0.1939 0.3258
47 Sn 0.9332 0.8264 0.6906
48 Sn 0.9348 0.1924 0.6892
49 Sn 0.9360 0.6279 0.0084
50 Sn 0.9440 0.3915 0.0079
51 Hg 0.0000 0.5095 0.5095
52 Hg 0.2500 0.0065 0.7587
53 Hg 0.5000 0.5095 0.5095
54 Hg 0.7500 0.7587 0.0065

# 6
Diffraction record for Pr3Zn4Rh4. The X-ray diffraction stick pattern is calculated, not measured: it uses a cell relaxed with PBE and Cu Ka.

Main lines, sorted by position (2θ = 10–90°):
| Position (°2θ) | d [Å] | I/Imax |
| --- | --- | --- |
| 28.49 | 3.133 | 22 |
| 33.02 | 2.713 | 100 |
| 37.05 | 2.427 | 45 |
| 44.16 | 2.051 | 31 |
| 50.46 | 1.809 | 31 |
| 58.97 | 1.566 | 22 |

Atomic structure:
Cell lengths 6.6455, 6.6455, 6.6455 Å; angles 109.47, 109.47, 109.47 degrees
Sites, in units of the cell vectors:
1 Pr 0.0000 0.5000 0.5000
2 Pr 0.5000 0.0000 0.5000
3 Pr 0.5000 0.5000 0.0000
4 Zn 0.0000 0.0000 0.2409
5 Zn 0.0000 0.2409 0.0000
6 Zn 0.2409 0.0000 0.0000
7 Zn 0.7591 0.7591 0.7591
8 Rh 0.0000 0.0000 0.6022
9 Rh 0.0000 0.6022 0.0000
10 Rh 0.3978 0.3978 0.3978
11 Rh 0.6022 0.0000 0.0000

# 7
Diffraction record for ErPaTe6. The X-ray diffraction stick pattern is calculated, not measured: it uses a cell relaxed with PBE and Cu Ka.

Main lines, sorted by position (2θ = 10–90°):
| Position (°2θ) | d [Å] | I/Imax |
| --- | --- | --- |
| 27.34 | 3.263 | 33 |
| 28.90 | 3.089 | 33 |
| 30.52 | 2.929 | 100 |
| 33.54 | 2.672 | 49 |
| 37.66 | 2.389 | 47 |
| 41.04 | 2.199 | 60 |

Atomic structure:
Cell lengths 4.4007, 4.3973, 26.1007 Å; angles 90.00, 90.00, 90.00 degrees
Sites, in units of the cell vectors:
1 Er 0.0000 0.0000 0.0000
2 Er 0.0000 0.5000 0.5000
3 Pa 0.5000 0.0000 0.6603
4 Pa 0.5000 0.5000 0.1603
5 Te 0.0000 0.0000 0.1240
6 Te 0.0000 0.0000 0.4102
7 Te 0.0000 0.0000 0.7495
8 Te 0.0000 0.5000 0.2495
9 Te 0.0000 0.5000 0.6240
10 Te 0.0000 0.5000 0.9102
11 Te 0.5000 0.0000 0.2495
12 Te 0.5000 0.0000 0.5383
13 Te 0.5000 0.0000 0.9101
14 Te 0.5000 0.5000 0.0383
15 Te 0.5000 0.5000 0.4101
16 Te 0.5000 0.5000 0.7495

# 8
Diffraction record for Sc4GaIr. The X-ray diffraction stick pattern is calculated, not measured: it uses a cell relaxed with PBE and Cu Ka.

Main lines, sorted by position (2θ = 10–90°):
| Position (°2θ) | d [Å] | I/Imax |
| --- | --- | --- |
| 15.22 | 5.821 | 31 |
| 23.77 | 3.744 | 100 |
| 38.94 | 2.313 | 39 |
| 39.47 | 2.283 | 75 |
| 46.13 | 1.968 | 34 |
| 70.88 | 1.330 | 24 |

Atomic structure:
Cell lengths 7.8764, 7.8764, 7.8764 Å; angles 130.92, 130.92, 71.93 degrees
Sites, in units of the cell vectors:
1 Sc 0.0000 0.2374 0.2374
2 Sc 0.0000 0.7626 0.7626
3 Sc 0.2374 0.0000 0.7374
4 Sc 0.2374 0.5000 0.2374
5 Sc 0.5000 0.2374 0.7374
6 Sc 0.5000 0.7626 0.2626
7 Sc 0.7626 0.0000 0.2626
8 Sc 0.7626 0.5000 0.7626
9 Ga 0.3750 0.6250 0.7500
10 Ga 0.6250 0.3750 0.2500
11 Ir 0.1250 0.8750 0.2500
12 Ir 0.8750 0.1250 0.7500

# 9
Diffraction record for K4Er3PaS8. The X-ray diffraction stick pattern is calculated, not measured: it uses a cell relaxed with PBE and Cu Ka.

Main lines, sorted by position (2θ = 10–90°):
| Position (°2θ) | d [Å] | I/Imax |
| --- | --- | --- |
| 11.99 | 7.382 | 89 |
| 25.86 | 3.445 | 32 |
| 26.80 | 3.326 | 40 |
| 30.29 | 2.951 | 100 |
| 41.65 | 2.168 | 37 |
| 45.02 | 2.014 | 33 |

Atomic structure:
Cell lengths 8.7248, 8.7248, 8.7248 Å; angles 54.98, 54.98, 54.98 degrees
Sites, in units of the cell vectors:
1 K 0.0000 0.0000 0.0000
2 K 0.0000 0.5000 0.5000
3 K 0.5000 0.0000 0.5000
4 K 0.5000 0.5000 0.0000
5 Er 0.0000 0.0000 0.5000
6 Er 0.0000 0.5000 0.0000
7 Er 0.5000 0.0000 0.0000
8 Pa 0.5000 0.5000 0.5000
9 S 0.2325 0.7352 0.7352
10 S 0.2335 0.2335 0.2335
11 S 0.2648 0.2648 0.7675
12 S 0.2648 0.7675 0.2648
13 S 0.7352 0.2325 0.7352
14 S 0.7352 0.7352 0.2325
15 S 0.7665 0.7665 0.7665
16 S 0.7675 0.2648 0.2648

# 10
Diffraction record for Tb2TmTc. The X-ray diffraction stick pattern is calculated, not measured: it uses a cell relaxed with PBE and Cu Ka.

Main lines, sorted by position (2θ = 10–90°):
| Position (°2θ) | d [Å] | I/Imax |
| --- | --- | --- |
| 31.11 | 2.875 | 93 |
| 32.30 | 2.771 | 62 |
| 32.97 | 2.717 | 100 |
| 33.79 | 2.653 | 99 |
| 38.23 | 2.354 | 46 |
| 58.41 | 1.580 | 39 |

Atomic structure:
Cell lengths 3.8840, 11.8652, 9.1683 Å; angles 90.00, 90.00, 90.00 degrees
Sites, in units of the cell vectors:
1 Tb 0.0000 0.1424 0.0658
2 Tb 0.0000 0.1424 0.4342
3 Tb 0.0000 0.8576 0.5658
4 Tb 0.0000 0.8576 0.9342
5 Tb 0.5000 0.3576 0.5658
6 Tb 0.5000 0.3576 0.9342
7 Tb 0.5000 0.6424 0.0658
8 Tb 0.5000 0.6424 0.4342
9 Tm 0.0000 0.4268 0.2500
10 Tm 0.0000 0.5732 0.7500
11 Tm 0.5000 0.0732 0.7500
12 Tm 0.5000 0.9268 0.2500
13 Tc 0.0000 0.2387 0.7500
14 Tc 0.0000 0.7613 0.2500
15 Tc 0.5000 0.2613 0.2500
16 Tc 0.5000 0.7387 0.7500

# 11
Diffraction record for CdPb2. The X-ray diffraction stick pattern is calculated, not measured: it uses a cell relaxed with PBE and Cu Ka.

Main lines, sorted by position (2θ = 10–90°):
| Position (°2θ) | d [Å] | I/Imax |
| --- | --- | --- |
| 31.78 | 2.816 | 100 |
| 33.27 | 2.693 | 86 |
| 46.67 | 1.946 | 35 |
| 58.51 | 1.577 | 36 |
| 59.45 | 1.555 | 17 |
| 78.79 | 1.215 | 16 |

Atomic structure:
Cell lengths 5.3860, 5.3860, 3.5320 Å; angles 90.00, 90.00, 120.00 degrees
Sites, in units of the cell vectors:
1 Cd 0.0000 0.0000 0.0000
2 Pb 0.3333 0.6667 0.2605
3 Pb 0.6667 0.3333 0.7395

# 12
Diffraction record for Sm4Dy19Ho6. The X-ray diffraction stick pattern is calculated, not measured: it uses a cell relaxed with PBE and Cu Ka.

Main lines, sorted by position (2θ = 10–90°):
| Position (°2θ) | d [Å] | I/Imax |
| --- | --- | --- |
| 26.81 | 3.326 | 49 |
| 28.70 | 3.111 | 61 |
| 30.48 | 2.933 | 100 |
| 35.34 | 2.540 | 42 |
| 36.83 | 2.440 | 74 |
| 60.44 | 1.532 | 29 |

Atomic structure:
Cell lengths 10.7760, 10.7760, 10.7760 Å; angles 109.47, 109.47, 109.47 degrees
Sites, in units of the cell vectors:
1 Sm 0.0000 0.0000 0.3592
2 Sm 0.0000 0.3592 0.0000
3 Sm 0.3592 0.0000 0.0000
4 Sm 0.6408 0.6408 0.6408
5 Dy 0.0000 0.0000 0.0000
6 Dy 0.0000 0.2616 0.2616
7 Dy 0.0000 0.7384 0.7384
8 Dy 0.0139 0.2155 0.6742
9 Dy 0.2015 0.9861 0.6603
10 Dy 0.2155 0.6742 0.0139
11 Dy 0.2616 0.0000 0.2616
12 Dy 0.2616 0.2616 0.0000
13 Dy 0.3258 0.5412 0.3397
14 Dy 0.3397 0.3258 0.5412
15 Dy 0.4588 0.7845 0.7985
16 Dy 0.5412 0.3397 0.3258
17 Dy 0.6603 0.2015 0.9861
18 Dy 0.6742 0.0139 0.2155
19 Dy 0.7384 0.0000 0.7384
20 Dy 0.7384 0.7384 0.0000
21 Dy 0.7845 0.7985 0.4588
22 Dy 0.7985 0.4588 0.7845
23 Dy 0.9861 0.6603 0.2015
24 Ho 0.1261 0.5000 0.6261
25 Ho 0.3739 0.8739 0.5000
26 Ho 0.5000 0.3739 0.8739
27 Ho 0.5000 0.6261 0.1261
28 Ho 0.6261 0.1261 0.5000
29 Ho 0.8739 0.5000 0.3739